Computed X-ray powder pattern of Na7Co2O6 for copper Kα, from a DFT-relaxed cell (PBE+U, the Materials Project).

Crystal structure
```
data_Na7Co2O6
_chemical_formula_sum 'Na14 Co4 O12'
_space_group_name_H-M_alt 'P 1'
_space_group_IT_number 1
_space_group_name_Hall 'P 1'
_cell_length_a 7.8990
_cell_length_b 7.8990
_cell_length_c 10.6418
_cell_angle_alpha 103.94
_cell_angle_beta 103.94
_cell_angle_gamma 43.39
loop_
_atom_site_label
_atom_site_type_symbol
_atom_site_fract_x
_atom_site_fract_y
_atom_site_fract_z
Na1 Na 0.0714 0.9286 0.7500
Na2 Na 0.1899 0.2578 0.8060
Na3 Na 0.2388 0.4270 0.5947
Na4 Na 0.2578 0.1899 0.3060
Na5 Na 0.3028 0.5768 0.3492
Na6 Na 0.4232 0.6972 0.1508
Na7 Na 0.4270 0.2388 0.0947
Na8 Na 0.5730 0.7612 0.9053
Na9 Na 0.5768 0.3028 0.8492
Na10 Na 0.6972 0.4232 0.6508
Na11 Na 0.7422 0.8101 0.6940
Na12 Na 0.7612 0.5730 0.4053
Na13 Na 0.8101 0.7422 0.1940
Na14 Na 0.9286 0.0714 0.2500
Co1 Co 0.0078 0.2404 0.0393
Co2 Co 0.2404 0.0078 0.5393
Co3 Co 0.7596 0.9922 0.4607
Co4 Co 0.9922 0.7596 0.9607
O1 O 0.0038 0.3430 0.5808
O2 O 0.1364 0.6722 0.1240
O3 O 0.1529 0.6058 0.8126
O4 O 0.3278 0.8636 0.3760
O5 O 0.3430 0.0038 0.0808
O6 O 0.3942 0.8471 0.6874
O7 O 0.6058 0.1529 0.3126
O8 O 0.6570 0.9962 0.9192
O9 O 0.6722 0.1364 0.6240
O10 O 0.8471 0.3942 0.1874
O11 O 0.8636 0.3278 0.8760
O12 O 0.9962 0.6570 0.4192
```

Peak list (10 most intense, 10° ≤ 2θ ≤ 90°, in order of rising 2θ)
| 2theta | d/Å | I/Imax |
| --- | --- | --- |
| 16.4 | 5.400 | 34.2 |
| 22.7 | 3.921 | 26.3 |
| 24.0 | 3.704 | 48.6 |
| 25.1 | 3.544 | 52.5 |
| 34.3 | 2.618 | 46.4 |
| 35.2 | 2.550 | 100.0 |
| 35.5 | 2.532 | 96.4 |
| 37.2 | 2.415 | 85.4 |
| 46.1 | 1.970 | 42.6 |
| 55.3 | 1.662 | 33.6 |